(1)
Simulated X-ray powder pattern
Compound: Na4Eu2SnP4
Radiation: λ = 1.5418 Å (Cu Kα)
Structure: DFT lattice parameters and positions (PBE)

Atomic structure:
Lattice parameters (Å, degrees): 9.550 9.550 7.238 90.92 90.92 120.12
Fractional coordinates of all 22 atoms:
Na: 0.071 0.929 0.500
Na: 0.327 0.864 0.194
Na: 0.507 0.659 0.037
Na: 0.659 0.507 0.537
Na: 0.659 0.943 0.522
Na: 0.864 0.327 0.694
Na: 0.929 0.071 0.000
Na: 0.943 0.659 0.022
Eu: 0.261 0.311 0.688
Eu: 0.264 0.740 0.697
Eu: 0.311 0.261 0.188
Eu: 0.740 0.264 0.197
Sn: 0.134 0.471 0.312
Sn: 0.471 0.134 0.812
P: 0.136 0.460 0.956
P: 0.169 0.983 0.903
P: 0.422 0.602 0.443
P: 0.460 0.136 0.456
P: 0.601 0.977 0.920
P: 0.602 0.422 0.943
P: 0.977 0.601 0.420
P: 0.983 0.169 0.403

Most intense lines, 2θ = 15–90°, in order of rising 2θ:
| 2θ/deg | I/Imax |
| --- | --- |
| 16.1 | 100 |
| 21.5 | 49 |
| 28.6 | 54 |
| 30.8 | 43 |
| 31.0 | 76 |
| 31.3 | 67 |
| 31.6 | 38 |
| 32.5 | 68 |
| 32.9 | 66 |
| 33.4 | 75 |
| 37.7 | 92 |
| 37.8 | 56 |

***

(2)
Simulated X-ray powder pattern
Compound: CuH6Se2O8
Radiation: λ = 1.5418 Å (Cu Kα)
Structure: DFT lattice parameters and positions (PBE)

Atomic structure:
Lattice parameters (Å, degrees): 6.406 6.334 9.189 90.00 91.26 90.00
Fractional coordinates of all 34 atoms:
Cu: 0.000 0.000 0.000
Cu: 0.000 0.500 0.500
H: 0.226 0.068 0.459
H: 0.226 0.432 0.959
H: 0.358 0.209 0.569
H: 0.358 0.291 0.069
H: 0.430 0.218 0.839
H: 0.430 0.282 0.339
H: 0.570 0.718 0.661
H: 0.570 0.782 0.161
H: 0.642 0.709 0.931
H: 0.642 0.791 0.431
H: 0.774 0.568 0.041
H: 0.774 0.932 0.541
Se: 0.232 0.727 0.243
Se: 0.232 0.773 0.743
Se: 0.768 0.227 0.257
Se: 0.768 0.273 0.757
O: 0.095 0.547 0.701
O: 0.095 0.953 0.201
O: 0.201 0.721 0.428
O: 0.201 0.779 0.928
O: 0.283 0.211 0.474
O: 0.283 0.289 0.974
O: 0.495 0.666 0.751
O: 0.495 0.834 0.251
O: 0.505 0.166 0.749
O: 0.505 0.334 0.249
O: 0.717 0.711 0.026
O: 0.717 0.789 0.526
O: 0.799 0.221 0.072
O: 0.799 0.279 0.572
O: 0.905 0.047 0.799
O: 0.905 0.453 0.299

Most intense lines, 2θ = 15–90°, in order of rising 2θ:
| 2θ/deg | I/Imax |
| --- | --- |
| 17.0 | 29 |
| 19.3 | 19 |
| 19.7 | 100 |
| 21.8 | 18 |
| 22.1 | 23 |
| 27.5 | 51 |
| 27.9 | 64 |
| 28.2 | 16 |
| 34.4 | 35 |
| 39.2 | 28 |
| 40.0 | 43 |
| 44.0 | 14 |